# 1
The following is a theoretical X-ray powder pattern of Ac2Tb6Th. It was derived from DFT lattice parameters and positions (PBE), using Cu Kα (weighted mean of Kα1 and Kα2).
Kinematic intensities with the Lorentz-polarization factor, no thermal factor.

Crystal structure
Cell: 17.298 9.977 3.602 Å, 90.00 90.08 90.00°
Space group C2/m (No. 12)
Asymmetric unit:
Ac: 0.167 0.000 0.000
Tb: 0.000 0.173 0.500
Tb: 0.163 0.337 0.501
Th: 0.000 0.500 0.000

Most intense lines, 2θ from 10° to 90°, most intense first:
hkl  two_theta  I_rel
3 1 1  30.6  1000
6 0 0  31.0  964
9 1 1  54.9  392
0 4 1  44.2  371
6 0 2  60.6  292
9 3 0  55.2  192
3 7 -1  73.3  139
12 0 0  64.7  119
0 6 2  78.2  93
12 0 2  86.5  92
0 0 2  50.7  83
3 1 3  82.7  64

# 2
The following is a theoretical X-ray powder pattern of NdReO4F2. It was derived from DFT lattice parameters and positions (PBE), using Cu Kα (weighted mean of Kα1 and Kα2).
Kinematic intensities with the Lorentz-polarization factor, no thermal factor.

Crystal structure
Cell: 4.706 5.311 5.691 Å, 86.50 71.98 71.02°
Space group P1 (No. 1)
Asymmetric unit:
Nd: 0.000 0.000 0.000
Re: 0.856 0.532 0.552
O: 0.081 0.652 0.287
O: 0.465 0.742 0.640
O: 0.929 0.187 0.615
O: 0.975 0.613 0.793
F: 0.458 0.042 0.045
F: 0.734 0.369 0.258

Most intense lines, 2θ from 10° to 90°, most intense first:
hkl  two_theta  I_rel
1 0 0  21.0  1000
0 1 -1  23.7  990
0 1 1  24.7  678
1 1 1  24.5  656
0 0 2  33.1  278
1 0 2  33.4  273
0 2 0  35.8  268
1 1 -1  31.4  264
1 1 3  50.2  234
1 -1 1  32.3  225
1 2 0  35.2  211
1 2 2  45.4  157

# 3
The following is a theoretical X-ray powder pattern of Nb3B3C. It was derived from DFT lattice parameters and positions (PBE), using Cu Kα (weighted mean of Kα1 and Kα2).
Kinematic intensities with the Lorentz-polarization factor, no thermal factor.

Crystal structure
Cell: 3.293 28.759 3.150 Å, 90.00 90.00 90.00°
Space group Cmcm (No. 63)
Asymmetric unit:
Nb: 0.000 0.047 0.250
Nb: 0.000 0.138 0.750
Nb: 0.000 0.288 0.750
B: 0.000 0.387 0.750
B: 0.000 0.421 0.250
B: 0.000 0.484 0.250
C: 0.000 0.212 0.750

Most intense lines, 2θ from 10° to 90°, most intense first:
hkl  two_theta  I_rel
0 6 1  34.1  1000
1 1 1  39.7  461
1 5 1  42.7  406
1 1 0  27.3  356
0 12 0  37.5  348
1 9 0  39.3  281
2 6 1  67.0  276
1 7 0  34.9  267
1 3 1  40.7  225
1 15 1  63.4  217
1 5 0  31.3  190
2 0 0  55.8  188

# 4
The following is a theoretical X-ray powder pattern of BaCuSe. It was derived from DFT lattice parameters and positions (PBE), using Cu Kα (weighted mean of Kα1 and Kα2).
Kinematic intensities with the Lorentz-polarization factor, no thermal factor.

Crystal structure
Cell: 4.3569 4.3569 4.7808 Å, 90.00 90.00 120.00°
Space group P-6m2 (No. 187)
Asymmetric unit:
Ba: 0.0000 0.0000 0.0000
Cu: 0.6667 0.3333 0.5000
Se: 0.3333 0.6667 0.5000

Most intense lines, 2θ from 10° to 90°, most intense first:
hkl  two_theta  I_rel
1 0 1  30.2  1000
1 1 0  41.5  384
1 1 2  57.2  291
2 0 1  52.1  210
2 1 1  68.7  183
0 0 2  37.6  169
1 0 3  63.4  116
3 0 2  87.7  88
1 0 0  23.6  72
3 0 0  75.6  63
2 0 3  78.6  63
1 0 2  44.9  26

# 5
The following is a theoretical X-ray powder pattern of Cs8Cd3Au2. It was derived from DFT lattice parameters and positions (PBE), using Cu Kα (weighted mean of Kα1 and Kα2).
Kinematic intensities with the Lorentz-polarization factor, no thermal factor.

Crystal structure
Cell: 10.994 19.571 6.927 Å, 90.00 90.00 90.00°
Space group Cmmm (No. 65)
Asymmetric unit:
Cs: 0.000 0.107 0.000
Cs: 0.000 0.314 0.000
Cs: 0.220 0.376 0.500
Cd: 0.000 0.000 0.500
Cd: 0.139 0.500 0.000
Au: 0.000 0.226 0.500

Most intense lines, 2θ from 10° to 90°, most intense first:
hkl  two_theta  I_rel
2 4 1  27.6  1000
1 5 1  27.4  848
0 0 2  25.7  651
2 4 3  46.5  238
3 1 2  36.0  230
1 5 3  46.4  220
3 1 0  24.7  208
2 4 0  24.4  194
3 3 1  30.8  174
3 9 0  48.7  173
5 5 1  49.3  168
0 2 1  15.7  166

# 6
The following is a theoretical X-ray powder pattern of La2H2Pt3. It was derived from DFT lattice parameters and positions (PBE), using Cu Kα (weighted mean of Kα1 and Kα2).
Kinematic intensities with the Lorentz-polarization factor, no thermal factor.

Crystal structure
Cell: 4.590 3.856 7.194 Å, 90.00 96.02 90.00°
Space group P2/m (No. 10)
Asymmetric unit:
La: 0.212 0.000 0.265
H: 0.165 0.500 0.854
Pt: 0.274 0.500 0.618
Pt: 0.500 0.500 0.000

Most intense lines, 2θ from 10° to 90°, most intense first:
hkl  two_theta  I_rel
1 1 -1  32.1  1000
0 1 2  34.2  465
1 1 2  41.0  366
1 0 2  33.4  347
1 0 -3  40.8  345
3 1 1  68.9  289
2 0 -1  40.2  289
1 1 1  33.7  287
0 2 0  47.1  283
1 1 0  30.3  254
0 1 0  23.1  235
1 2 -3  64.1  193

# 7
The following is a theoretical X-ray powder pattern of SrPaSO2. It was derived from DFT lattice parameters and positions (PBE), using Cu Kα (weighted mean of Kα1 and Kα2).
Kinematic intensities with the Lorentz-polarization factor, no thermal factor.

Crystal structure
Cell: 4.184 4.184 6.034 Å, 90.00 90.00 90.00°
Space group P4mm (No. 99)
Asymmetric unit:
Sr: 0.000 0.000 0.000
Pa: 0.500 0.500 0.390
S: 0.500 0.500 0.840
O: 0.000 0.500 0.277

Most intense lines, 2θ from 10° to 90°, most intense first:
hkl  two_theta  I_rel
1 0 1  25.9  1000
1 1 0  30.2  461
1 0 2  36.7  374
0 0 1  14.7  345
2 1 1  51.1  330
1 0 0  21.2  327
1 1 2  42.8  293
2 0 0  43.3  254
2 1 2  58.0  201
0 0 2  29.6  190
2 0 2  53.3  149
1 1 3  55.2  126

# 8
The following is a theoretical X-ray powder pattern of Ac4TlAg3. It was derived from DFT lattice parameters and positions (PBE), using Cu Kα (weighted mean of Kα1 and Kα2).
Kinematic intensities with the Lorentz-polarization factor, no thermal factor.

Crystal structure
Cell: 4.239 5.093 12.234 Å, 90.00 90.00 90.00°
Space group Pmm2 (No. 25)
Asymmetric unit:
Ac: 0.000 0.000 0.000
Ac: 0.000 0.500 0.277
Ac: 0.500 0.000 0.484
Ac: 0.500 0.500 0.787
Tl: 0.000 0.000 0.713
Ag: 0.000 0.500 0.556
Ag: 0.500 0.000 0.210
Ag: 0.500 0.500 0.066

Most intense lines, 2θ from 10° to 90°, most intense first:
hkl  two_theta  I_rel
1 1 1  28.3  1000
0 2 0  35.3  811
1 0 3  30.4  367
0 1 4  34.2  297
0 0 4  29.2  228
1 2 3  47.2  223
0 2 4  46.4  204
2 0 0  42.7  202
2 2 0  56.5  177
1 2 7  68.8  171
0 1 2  22.7  163
1 0 7  57.0  150

# 9
The following is a theoretical X-ray powder pattern of NaBAuF6. It was derived from DFT lattice parameters and positions (PBE), using Cu Kα (weighted mean of Kα1 and Kα2).
Kinematic intensities with the Lorentz-polarization factor, no thermal factor.

Crystal structure
Cell: 4.669 4.677 6.897 Å, 73.13 73.49 86.03°
Space group P1 (No. 1)
Asymmetric unit:
Na: 0.000 0.000 0.000
B: 0.504 0.496 0.000
Au: 0.419 0.581 0.500
F: 0.103 0.266 0.654
F: 0.298 0.560 0.180
F: 0.440 0.703 0.819
F: 0.460 0.203 0.999
F: 0.737 0.893 0.346
F: 0.798 0.540 0.001

Most intense lines, 2θ from 10° to 90°, most intense first:
hkl  two_theta  I_rel
0 1 0  19.8  1000
0 1 1  20.8  791
0 0 1  14.0  372
1 -1 0  28.0  327
0 1 -1  27.4  295
0 0 2  28.1  266
0 1 2  29.6  214
1 0 2  29.7  211
1 1 0  28.4  209
2 1 0  45.6  200
1 -1 1  31.5  197
-1 1 1  31.4  196

# 10
The following is a theoretical X-ray powder pattern of Dy5ZnCu4. It was derived from DFT lattice parameters and positions (PBE), using Cu Kα (weighted mean of Kα1 and Kα2).
Kinematic intensities with the Lorentz-polarization factor, no thermal factor.

Crystal structure
Cell: 3.482 3.482 17.485 Å, 90.00 90.00 90.00°
Space group P4/mmm (No. 123)
Asymmetric unit:
Dy: 0.000 0.000 0.000
Dy: 0.000 0.000 0.198
Dy: 0.000 0.000 0.396
Zn: 0.500 0.500 0.500
Cu: 0.500 0.500 0.099
Cu: 0.500 0.500 0.298

Most intense lines, 2θ from 10° to 90°, most intense first:
hkl  two_theta  I_rel
1 1 0  36.4  1000
2 1 5  65.6  232
1 0 0  25.6  127
2 0 0  52.6  116
1 1 10  65.5  115
3 1 0  88.9  104
2 0 10  77.3  70
0 0 5  25.5  64
1 1 5  45.0  58
0 0 10  52.3  57
2 1 0  59.3  54
1 0 15  88.4  50